(1)
Structure and theoretical powder diffraction line list of Li2MnPO4F (a GGA+U-relaxed structure; Cu Kα (weighted mean of Kα1 and Kα2)).
Kinematic intensities with the Lorentz-polarization factor, no thermal factor.

Crystal structure
```
Li2MnPO4F
1.0
7.403 0.000 0.000
3.522 6.826 0.000
0.234 -0.084 7.990
Li Mn P O F
8 4 4 16 4
Direct
0.000 0.000 0.000
0.043 0.418 0.094
0.150 0.179 0.389
0.239 0.445 0.617
0.389 0.746 0.272
0.574 0.088 0.688
0.712 0.409 0.122
0.908 0.728 0.767
0.340 0.576 0.932
0.343 0.067 0.945
0.806 0.600 0.449
0.831 0.077 0.434
0.306 0.824 0.593
0.352 0.353 0.299
0.801 0.816 0.086
0.844 0.348 0.791
0.010 0.663 0.003
0.144 0.495 0.384
0.162 0.936 0.447
0.205 0.721 0.704
0.301 0.215 0.186
0.348 0.970 0.697
0.440 0.465 0.187
0.494 0.237 0.441
0.501 0.668 0.503
0.647 0.500 0.883
0.667 0.918 0.934
0.714 0.703 0.197
0.811 0.193 0.693
0.837 0.969 0.185
0.941 0.453 0.680
0.991 0.246 0.943
0.271 0.855 0.061
0.363 0.312 0.816
0.782 0.859 0.570
0.880 0.315 0.314
```

Top 8 peaks for 10° ≤ 2θ ≤ 80°, most intense first:
- d = 3.463 Å, 25.72°, intensity 100, (1 2 1)
- d = 3.288 Å, 27.12°, intensity 78, (2 0 0)
- d = 3.447 Å, 25.85°, intensity 55, (1 2 -1)
- d = 2.495 Å, 35.99°, intensity 28, (1 0 3)
- d = 1.732 Å, 52.87°, intensity 25, (0 2 -4)
- d = 5.002 Å, 17.73°, intensity 25, (1 0 -1)
- d = 3.432 Å, 25.96°, intensity 24, (0 1 2)
- d = 5.156 Å, 17.20°, intensity 21, (1 0 1)

---

(2)
Structure and theoretical powder diffraction line list of Li2MnPO4F (a GGA+U-relaxed structure; Cu Kα (weighted mean of Kα1 and Kα2)).
Kinematic intensities with the Lorentz-polarization factor, no thermal factor.

Crystal structure
```
Li2MnPO4F
1.0
5.441 0.000 0.000
-0.425 5.432 0.000
-2.310 -2.510 6.746
Li Mn P O F
4 2 2 8 2
Direct
0.000 0.000 0.000
0.025 0.191 0.380
0.291 0.490 0.234
0.699 0.587 0.654
0.500 0.032 0.022
0.523 0.035 0.538
0.174 0.415 0.781
0.859 0.662 0.290
0.151 0.766 0.425
0.171 0.710 0.878
0.229 0.285 0.943
0.380 0.375 0.675
0.662 0.684 0.405
0.790 0.833 0.157
0.840 0.365 0.177
0.898 0.289 0.615
0.325 0.146 0.266
0.669 0.931 0.796
```

Top 8 peaks for 10° ≤ 2θ ≤ 80°, most intense first:
- d = 3.411 Å, 26.12°, intensity 100, (0 1 -2)
- d = 3.299 Å, 27.03°, intensity 56, (1 1 0)
- d = 3.439 Å, 25.91°, intensity 31, (-1 1 1)
- d = 5.089 Å, 17.43°, intensity 30, (0 1 0)
- d = 2.578 Å, 34.81°, intensity 21, (-1 1 2)
- d = 2.120 Å, 42.64°, intensity 19, (2 1 0)
- d = 2.471 Å, 36.35°, intensity 18, (1 -2 0)
- d = 1.758 Å, 52.01°, intensity 18, (2 0 2)

---

(3)
Structure and theoretical powder diffraction line list of Li2Mn2P2O7F2 (a GGA+U-relaxed structure; Cu Kα (weighted mean of Kα1 and Kα2)).
Kinematic intensities with the Lorentz-polarization factor, no thermal factor.

Crystal structure
```
Li2Mn2P2O7F2
1.0
6.775 0.000 0.000
0.000 11.259 0.000
0.000 0.000 10.495
Li Mn P O F
8 8 8 28 8
Direct
0.020 0.210 0.028
0.020 0.790 0.528
0.480 0.290 0.528
0.480 0.710 0.028
0.520 0.290 0.972
0.520 0.710 0.472
0.980 0.210 0.472
0.980 0.790 0.972
0.000 0.331 0.750
0.000 0.500 0.000
0.000 0.500 0.500
0.000 0.669 0.250
0.500 0.000 0.000
0.500 0.000 0.500
0.500 0.169 0.250
0.500 0.831 0.750
0.217 0.077 0.750
0.217 0.923 0.250
0.283 0.423 0.250
0.283 0.577 0.750
0.717 0.423 0.250
0.717 0.577 0.750
0.783 0.077 0.750
0.783 0.923 0.250
0.000 0.016 0.750
0.000 0.984 0.250
0.166 0.483 0.675
0.166 0.517 0.175
0.203 0.197 0.680
0.203 0.803 0.180
0.224 0.408 0.390
0.224 0.592 0.890
0.276 0.092 0.890
0.276 0.908 0.390
0.297 0.303 0.180
0.297 0.697 0.680
0.334 0.017 0.175
0.334 0.983 0.675
0.500 0.484 0.250
0.500 0.516 0.750
0.666 0.017 0.325
0.666 0.983 0.825
0.703 0.303 0.320
0.703 0.697 0.820
0.724 0.092 0.610
0.724 0.908 0.110
0.776 0.408 0.110
0.776 0.592 0.610
0.797 0.197 0.820
0.797 0.803 0.320
0.834 0.483 0.825
0.834 0.517 0.325
0.128 0.334 0.936
0.128 0.666 0.436
0.372 0.166 0.436
0.372 0.834 0.936
0.628 0.166 0.064
0.628 0.834 0.564
0.872 0.334 0.564
0.872 0.666 0.064
```

Top 8 peaks for 10° ≤ 2θ ≤ 80°, most intense first:
- d = 5.080 Å, 17.46°, intensity 100, (1 1 1)
- d = 5.805 Å, 15.26°, intensity 91, (1 1 0)
- d = 2.798 Å, 31.99°, intensity 60, (2 2 1)
- d = 2.783 Å, 32.16°, intensity 41, (1 3 2)
- d = 5.248 Å, 16.90°, intensity 33, (0 0 2)
- d = 3.893 Å, 22.84°, intensity 33, (1 1 2)
- d = 1.816 Å, 50.25°, intensity 32, (3 3 2)
- d = 5.630 Å, 15.74°, intensity 31, (0 2 0)